Structure and simulated powder diffraction line list of Np4NbO10 (a structure optimized by DFT (GGA-PBE); λ = 1.5418 Å (Cu Kα)).
Peak positions follow from Bragg's law for the DFT cell and can differ from measured ones.

Cell and atoms:
```
data_Np4NbO10
_cell_length_a 3.7824
_cell_length_b 3.7824
_cell_length_c 45.8245
_cell_angle_alpha 90.00
_cell_angle_beta 90.00
_cell_angle_gamma 120.00
_space_group_name_H-M_alt 'R -3 m'
_space_group_IT_number 166
_space_group_name_Hall '-R 3 2"'
loop_
_atom_site_label
_atom_site_fract_x
_atom_site_fract_y
_atom_site_fract_z
_atom_site_occupancy
Np1 0.0000 0.0000 0.1027 1
Np2 0.0000 0.0000 0.2990 1
Nb1 0.0000 0.0000 0.5000 1
O1 0.0000 0.0000 0.0519 1
O2 0.0000 0.0000 0.1547 1
O3 0.0000 0.0000 0.2470 1
O4 0.0000 0.0000 0.3504 1
O5 0.0000 0.0000 0.4546 1
```

The 12 most intense peaks (2θ = 5–70°), low angle first:
- 2θ = 5.8°, I = 10
- 2θ = 11.6°, I = 3
- 2θ = 28.9°, I = 100
- 2θ = 29.2°, I = 32
- 2θ = 33.6°, I = 47
- 2θ = 43.5°, I = 4
- 2θ = 48.1°, I = 34
- 2θ = 48.5°, I = 31
- 2θ = 57.1°, I = 15
- 2θ = 57.3°, I = 30
- 2θ = 57.6°, I = 14
- 2θ = 60.0°, I = 10


Structure and simulated powder diffraction line list of NpNbO6 (a structure optimized by DFT (GGA-PBE); λ = 1.5418 Å (Cu Kα)).
Peak positions follow from Bragg's law for the DFT cell and can differ from measured ones.

Cell and atoms:
```
data_NpNbO6
_cell_length_a 5.6467
_cell_length_b 5.6467
_cell_length_c 13.9176
_cell_angle_alpha 90.00
_cell_angle_beta 90.00
_cell_angle_gamma 120.00
_space_group_name_H-M_alt 'R -3'
_space_group_IT_number 148
_space_group_name_Hall '-R 3'
loop_
_atom_site_label
_atom_site_fract_x
_atom_site_fract_y
_atom_site_fract_z
_atom_site_occupancy
Np1 0.0000 0.0000 0.0000 1
Nb1 0.0000 0.0000 0.5000 1
O1 0.0014 0.4668 0.2497 1
```

The 12 most intense peaks (2θ = 5–70°), low angle first:
- 2θ = 19.1°, I = 6
- 2θ = 19.2°, I = 18
- 2θ = 22.2°, I = 100
- 2θ = 31.6°, I = 27
- 2θ = 31.7°, I = 27
- 2θ = 37.3°, I = 12
- 2θ = 39.0°, I = 10
- 2θ = 45.3°, I = 20
- 2θ = 51.0°, I = 21
- 2θ = 51.1°, I = 21
- 2θ = 56.4°, I = 17
- 2θ = 65.9°, I = 6


Structure and simulated powder diffraction line list of Rb4NpNb3O12 (a structure optimized by DFT (GGA-PBE); λ = 1.5418 Å (Cu Kα)).
Peak positions follow from Bragg's law for the DFT cell and can differ from measured ones.

Cell and atoms:
```
data_Rb4NpNb3O12
_cell_length_a 8.3127
_cell_length_b 8.3127
_cell_length_c 8.3127
_cell_angle_alpha 90.00
_cell_angle_beta 90.00
_cell_angle_gamma 90.00
_space_group_name_H-M_alt 'I m -3 m'
_space_group_IT_number 229
_space_group_name_Hall '-I 4 2 3'
loop_
_atom_site_label
_atom_site_fract_x
_atom_site_fract_y
_atom_site_fract_z
_atom_site_occupancy
Rb1 0.2500 0.2500 0.2500 1
Np1 0.0000 0.0000 0.0000 1
Nb1 0.0000 0.0000 0.5000 1
O1 0.0000 0.0000 0.2573 1
O2 0.0000 0.2500 0.5000 1
```

The 12 most intense peaks (2θ = 5–70°), low angle first:
- 2θ = 15.1°, I = 13
- 2θ = 21.4°, I = 11
- 2θ = 26.3°, I = 8
- 2θ = 30.4°, I = 100
- 2θ = 34.1°, I = 4
- 2θ = 40.6°, I = 6
- 2θ = 43.5°, I = 32
- 2θ = 46.3°, I = 3
- 2θ = 49.0°, I = 5
- 2θ = 54.0°, I = 40
- 2θ = 56.4°, I = 3
- 2θ = 63.3°, I = 20


Structure and simulated powder diffraction line list of Sr2NpNbO6 (a structure optimized by DFT (GGA-PBE); λ = 1.5418 Å (Cu Kα)).
Peak positions follow from Bragg's law for the DFT cell and can differ from measured ones.

Cell and atoms:
```
data_Sr2NpNbO6
_cell_length_a 4.2282
_cell_length_b 4.2282
_cell_length_c 8.5379
_cell_angle_alpha 90.00
_cell_angle_beta 90.00
_cell_angle_gamma 90.00
_space_group_name_H-M_alt 'P 4/m m m'
_space_group_IT_number 123
_space_group_name_Hall '-P 4 2'
loop_
_atom_site_label
_atom_site_fract_x
_atom_site_fract_y
_atom_site_fract_z
_atom_site_occupancy
Sr1 0.0000 0.0000 0.2228 1
Np1 0.5000 0.5000 0.5000 1
Nb1 0.5000 0.5000 0.0000 1
O1 0.0000 0.5000 0.0000 1
O2 0.0000 0.5000 0.5000 1
O3 0.5000 0.5000 0.2384 1
```

The 12 most intense peaks (2θ = 5–70°), low angle first:
- 2θ = 10.4°, I = 12
- 2θ = 20.8°, I = 11
- 2θ = 21.0°, I = 19
- 2θ = 23.5°, I = 22
- 2θ = 29.7°, I = 100
- 2θ = 29.9°, I = 52
- 2θ = 42.3°, I = 14
- 2θ = 42.8°, I = 32
- 2θ = 52.7°, I = 18
- 2θ = 53.0°, I = 41
- 2θ = 61.8°, I = 18
- 2θ = 62.1°, I = 10


Structure and simulated powder diffraction line list of NpNbOsW (a structure optimized by DFT (GGA-PBE); λ = 1.5418 Å (Cu Kα)).
Peak positions follow from Bragg's law for the DFT cell and can differ from measured ones.

Cell and atoms:
```
data_NpNbOsW
_cell_length_a 6.5339
_cell_length_b 6.5339
_cell_length_c 6.5339
_cell_angle_alpha 90.00
_cell_angle_beta 90.00
_cell_angle_gamma 90.00
_space_group_name_H-M_alt 'F -4 3 m'
_space_group_IT_number 216
_space_group_name_Hall 'F -4 2 3'
loop_
_atom_site_label
_atom_site_fract_x
_atom_site_fract_y
_atom_site_fract_z
_atom_site_occupancy
Np1 0.0000 0.0000 0.0000 1
Nb1 0.2500 0.2500 0.7500 1
Os1 0.0000 0.0000 0.5000 1
W1 0.2500 0.2500 0.2500 1
```

The 8 most intense peaks (2θ = 5–70°), low angle first:
- 2θ = 23.6°, I = 4
- 2θ = 27.3°, I = 5
- 2θ = 39.0°, I = 100
- 2θ = 46.1°, I = 3
- 2θ = 48.2°, I = 2
- 2θ = 56.3°, I = 17
- 2θ = 61.9°, I = 1
- 2θ = 63.7°, I = 2


Structure and simulated powder diffraction line list of NpNb2Se3 (a structure optimized by DFT (GGA-PBE); λ = 1.5418 Å (Cu Kα)).
Peak positions follow from Bragg's law for the DFT cell and can differ from measured ones.

Cell and atoms:
```
data_NpNb2Se3
_cell_length_a 17.7349
_cell_length_b 3.5706
_cell_length_c 9.3445
_cell_angle_alpha 90.00
_cell_angle_beta 107.09
_cell_angle_gamma 90.00
_space_group_name_H-M_alt 'C 1 2/m 1'
_space_group_IT_number 12
_space_group_name_Hall '-C 2y'
loop_
_atom_site_label
_atom_site_fract_x
_atom_site_fract_y
_atom_site_fract_z
_atom_site_occupancy
Np1 0.2028 0.0000 0.0003 1
Nb1 0.0884 0.5000 0.2122 1
Nb2 0.1922 0.0000 0.4047 1
Se1 0.0447 0.0000 0.3726 1
Se2 0.0752 0.5000 0.9239 1
Se3 0.2389 0.0000 0.7164 1
```

The 12 most intense peaks (2θ = 5–70°), low angle first:
- 2θ = 9.9°, I = 94
- 2θ = 10.4°, I = 100
- 2θ = 16.4°, I = 54
- 2θ = 19.6°, I = 55
- 2θ = 29.6°, I = 29
- 2θ = 30.0°, I = 25
- 2θ = 33.1°, I = 25
- 2θ = 36.5°, I = 82
- 2θ = 38.5°, I = 82
- 2θ = 42.4°, I = 33
- 2θ = 44.8°, I = 24
- 2θ = 51.2°, I = 33


Structure and simulated powder diffraction line list of NpTiNb (a structure optimized by DFT (GGA-PBE); λ = 1.5418 Å (Cu Kα)).
Peak positions follow from Bragg's law for the DFT cell and can differ from measured ones.

Cell and atoms:
```
data_NpTiNb
_cell_length_a 5.0579
_cell_length_b 2.7350
_cell_length_c 7.8417
_cell_angle_alpha 90.00
_cell_angle_beta 90.00
_cell_angle_gamma 90.00
_space_group_name_H-M_alt 'P m m a'
_space_group_IT_number 51
_space_group_name_Hall '-P 2a 2a'
loop_
_atom_site_label
_atom_site_fract_x
_atom_site_fract_y
_atom_site_fract_z
_atom_site_occupancy
Np1 0.0000 0.0000 0.0000 1
Ti1 0.2500 0.0000 0.3306 1
Nb1 0.2500 0.5000 0.6488 1
```

The 12 most intense peaks (2θ = 5–70°), low angle first:
- 2θ = 11.3°, I = 100
- 2θ = 22.7°, I = 31
- 2θ = 34.3°, I = 49
- 2θ = 34.7°, I = 48
- 2θ = 37.4°, I = 55
- 2θ = 40.2°, I = 26
- 2θ = 42.5°, I = 32
- 2θ = 49.1°, I = 21
- 2θ = 50.5°, I = 19
- 2θ = 54.7°, I = 20
- 2θ = 59.7°, I = 16
- 2θ = 61.2°, I = 21


Structure and simulated powder diffraction line list of NpNbV (a structure optimized by DFT (GGA-PBE); λ = 1.5418 Å (Cu Kα)).
Peak positions follow from Bragg's law for the DFT cell and can differ from measured ones.

Cell and atoms:
```
data_NpNbV
_cell_length_a 3.3057
_cell_length_b 3.3057
_cell_length_c 9.6078
_cell_angle_alpha 90.00
_cell_angle_beta 90.00
_cell_angle_gamma 90.00
_space_group_name_H-M_alt 'I 4 m m'
_space_group_IT_number 107
_space_group_name_Hall 'I 4 -2'
loop_
_atom_site_label
_atom_site_fract_x
_atom_site_fract_y
_atom_site_fract_z
_atom_site_occupancy
Np1 0.0000 0.0000 0.0000 1
Nb1 0.0000 0.0000 0.3223 1
V1 0.0000 0.0000 0.6484 1
```

The 12 most intense peaks (2θ = 5–70°), low angle first:
- 2θ = 18.5°, I = 28
- 2θ = 28.6°, I = 44
- 2θ = 37.4°, I = 6
- 2θ = 38.5°, I = 53
- 2θ = 39.2°, I = 100
- 2θ = 43.0°, I = 15
- 2θ = 54.8°, I = 9
- 2θ = 55.3°, I = 7
- 2θ = 55.6°, I = 18
- 2θ = 57.6°, I = 8
- 2θ = 59.1°, I = 6
- 2θ = 63.7°, I = 10